Simulated powder diffractogram
Compound: Sr7CaTi3Mn5O24
Radiation: Cu Kα, 1.54184 Å
Structure: a cell relaxed with GGA+U
Kinematic intensities with the Lorentz-polarization factor, no thermal factor.

Principal peaks in the range 5° ≤ 2θ ≤ 70°, in order of rising 2θ:
h k l, d_spacing, I (rel.)
0 0 1, 7.780, 2
4 0 0, 2.767, 19
2 2 2, 2.751, 100
4 0 -2, 2.252, 9
0 4 2, 2.244, 9
4 4 0, 1.952, 32
0 0 4, 1.938, 15
6 2 -2, 1.594, 16
4 0 4, 1.588, 23
0 4 4, 1.584, 8
8 0 0, 1.384, 4
0 8 0, 1.375, 22

Atomic structure:
Lattice parameters (Å, degrees): 11.0682 11.0108 7.7505 90.00 90.01 90.00
Space group Cm (No. 8)
Unique sites:
Sr: 0.0000 0.0000 0.0000 x2
Sr: 0.0005 0.0000 0.5060 x2
Sr: 0.0018 0.5000 0.5063 x2
Sr: 0.2500 0.2516 0.0001 x4
Sr: 0.2496 0.2525 0.5052 x4
Ca: 0.4972 0.0000 0.9980 x2
Ti: 0.0004 0.2516 0.2515 x4
Ti: 0.2503 0.0000 0.2518 x2
Mn: 0.0001 0.2507 0.7538 x4
Mn: 0.2494 0.5000 0.2521 x2
Mn: 0.2489 0.5000 0.7543 x2
Mn: 0.2511 0.0000 0.7536 x2
O: 0.0188 0.2509 0.0005 x4
O: 0.1253 0.3748 0.7286 x4
O: 0.1260 0.1254 0.2700 x4
O: 0.1264 0.3762 0.2724 x4
O: 0.1266 0.1255 0.7294 x4
O: 0.2181 0.5000 0.0030 x2
O: 0.2313 0.0000 0.0003 x2
O: 0.2702 0.0000 0.5072 x2
O: 0.2719 0.5000 0.5031 x2
O: 0.3732 0.3763 0.2328 x4
O: 0.3747 0.3749 0.7783 x4
O: 0.3774 0.1235 0.2325 x4
O: 0.3793 0.1218 0.7856 x4
O: 0.4813 0.2494 0.5066 x4